# 1
The following is a calculated PXRD pattern of TaCl3O. It was derived from DFT lattice parameters and positions (PBE), using Cu Kα.
Lines closer than 0.1° are merged.

Principal peaks in the range 2θ from 10° to 80°, sorted by position:
10.48°, d 8.438, intensity 100.0, hkl 1 1 0
16.61°, d 5.336, intensity 95.8, hkl 2 1 0
24.31°, d 3.662, intensity 65.3, hkl 1 0 1
25.44°, d 3.501, intensity 22.2, hkl 1 1 1
29.95°, d 2.983, intensity 41.4, hkl 4 0 0
33.26°, d 2.694, intensity 17.0, hkl 3 1 1
38.47°, d 2.340, intensity 20.4, hkl 5 1 0
38.94°, d 2.313, intensity 22.5, hkl 4 1 1
44.68°, d 2.028, intensity 32.8, hkl 5 0 1
50.45°, d 1.809, intensity 15.4, hkl 2 1 2
54.14°, d 1.694, intensity 13.7, hkl 6 2 1
54.73°, d 1.677, intensity 17.5, hkl 5 4 1

Structure:
Unit cell a=11.9325 b=11.9325 c=3.8477 alpha=90.00 beta=90.00 gamma=90.00
Space group P-42_1m (No. 113)
One atom of each set of equivalent atoms:
Ta: 0.1175 0.3825 0.2491
Cl: 0.0968 0.5968 0.2490
Cl: 0.0984 0.1918 0.2491
O: 0.1056 0.3944 0.7491

---

# 2
The following is a calculated PXRD pattern of TlAg4PbCl8. It was derived from DFT lattice parameters and positions (PBE), using Cu Kα.
Lines closer than 0.1° are merged.

Principal peaks in the range 2θ from 10° to 80°, sorted by position:
21.88°, d 4.062, intensity 36.6, hkl 1 1 0
24.93°, d 3.572, intensity 37.1, hkl 0 1 5
25.44°, d 3.502, intensity 100.0, hkl 1 1 3
25.69°, d 3.468, intensity 17.0, hkl 0 2 1
30.72°, d 2.911, intensity 26.8, hkl 0 2 4
39.79°, d 2.265, intensity 13.8, hkl 0 2 7
40.29°, d 2.238, intensity 24.0, hkl 1 2 5
40.62°, d 2.221, intensity 29.5, hkl 0 3 3
43.37°, d 2.086, intensity 41.2, hkl 2 0 8
44.61°, d 2.031, intensity 43.9, hkl 2 2 0
60.22°, d 1.537, intensity 14.2, hkl 1 2 11
61.91°, d 1.499, intensity 16.9, hkl 4 1 3

Structure:
Unit cell a=8.1241 b=8.1241 c=20.7287 alpha=90.00 beta=90.00 gamma=120.00
Space group R3m (No. 160, hexagonal axes)
One atom of each set of equivalent atoms:
Tl: 0.0000 0.0000 0.0000
Ag: 0.0000 0.0000 0.2722
Ag: 0.0023 0.5012 0.1341
Pb: 0.0000 0.0000 0.6298
Cl: 0.0000 0.0000 0.3980
Cl: 0.0000 0.0000 0.8661
Cl: 0.0157 0.5079 0.3946
Cl: 0.1711 0.3423 0.2162

---

# 3
The following is a calculated PXRD pattern of PrCrSb2. It was derived from DFT lattice parameters and positions (PBE), using Cu Kα.
Lines closer than 0.1° are merged.

Principal peaks in the range 2θ from 10° to 80°, sorted by position:
24.29°, d 3.665, intensity 13.1, hkl 1 0 1
30.11°, d 2.968, intensity 100.0, hkl 1 0 4
33.15°, d 2.702, intensity 21.6, hkl 0 1 5
41.47°, d 2.177, intensity 7.1, hkl 0 0 9
41.94°, d 2.154, intensity 45.0, hkl 1 1 0
44.23°, d 2.048, intensity 23.7, hkl 0 1 8
52.49°, d 1.743, intensity 20.4, hkl 0 2 4
60.46°, d 1.531, intensity 14.1, hkl 1 1 9
62.59°, d 1.484, intensity 8.2, hkl 2 0 8
69.35°, d 1.355, intensity 17.3, hkl 2 1 4
76.62°, d 1.244, intensity 7.3, hkl 3 0 0
78.22°, d 1.222, intensity 8.5, hkl 1 2 8

Structure:
Unit cell a=4.3080 b=4.3080 c=19.5954 alpha=90.00 beta=90.00 gamma=120.00
Space group R-3m (No. 166, hexagonal axes)
One atom of each set of equivalent atoms:
Pr: 0.0000 0.0000 0.0000
Cr: 0.0000 0.0000 0.5000
Sb: 0.0000 0.0000 0.2318